This entry pairs a crystal structure of Dy2Co3Ge5 with its simulated powder X-ray diffraction pattern. Radiation: Cu Kα (weighted mean of Kα1 and Kα2). Structure: the GGA-PBE geometry in Alexandria.

Atomic structure:
Cell: 8.083 8.083 5.733 Å, 109.47 109.47 93.86°
Fractional coordinates of all 20 atoms:
Dy: 0.094 0.373 0.233
Dy: 0.373 0.094 0.733
Dy: 0.627 0.906 0.267
Dy: 0.906 0.627 0.767
Co: 0.042 0.762 0.378
Co: 0.238 0.958 0.122
Co: 0.495 0.505 0.250
Co: 0.505 0.495 0.750
Co: 0.762 0.042 0.878
Co: 0.958 0.238 0.622
Ge: 0.010 0.990 0.750
Ge: 0.239 0.423 0.826
Ge: 0.271 0.729 0.750
Ge: 0.285 0.715 0.250
Ge: 0.423 0.239 0.326
Ge: 0.577 0.761 0.674
Ge: 0.715 0.285 0.750
Ge: 0.729 0.271 0.250
Ge: 0.761 0.577 0.174
Ge: 0.990 0.010 0.250

Most intense lines, 5 to 70 degrees two-theta, by intensity:
two_theta	I_rel
35.91	100.0
35.66	82.0
44.05	75.1
37.08	38.3
35.01	34.9
37.33	18.2
31.22	15.3
65.13	14.7